1.
Diffraction record for Mg3Si4Ag2O14. The X-ray diffraction stick pattern is computed, not measured: it uses a structure optimized by DFT (GGA-PBE) and Cu Kα, 1.54184 Å.
No peak broadening, texture or thermal motion is included.

Crystal structure
```
data_Mg3Si4Ag2O14
_symmetry_space_group_name_H-M 'C 1 2/c 1'
_symmetry_Int_Tables_number 15
_symmetry_space_group_name_Hall '-C 2yc'
_cell_length_a 17.704
_cell_length_b 7.736
_cell_length_c 10.288
_cell_angle_alpha 90.00
_cell_angle_beta 125.17
_cell_angle_gamma 90.00
loop_
_atom_site_label
_atom_site_type_symbol
_atom_site_fract_x
_atom_site_fract_y
_atom_site_fract_z
_atom_site_occupancy
Mg1 Mg 0.000 0.111 0.250 1
Mg2 Mg 0.169 0.387 0.376 1
Si1 Si 0.118 0.107 0.110 1
Si2 Si 0.192 0.260 0.706 1
Ag1 Ag 0.000 0.277 0.750 1
Ag2 Ag 0.000 0.500 0.000 1
O1 O 0.047 0.072 0.918 1
O2 O 0.070 0.468 0.904 1
O3 O 0.078 0.225 0.192 1
O4 O 0.130 0.421 0.706 1
O5 O 0.151 0.073 0.716 1
O6 O 0.205 0.245 0.564 1
O7 O 0.206 0.204 0.127 1
```

Most intense lines, 2θ from 10° to 90°, in order of falling intensity:
12.23 deg, intensity 100, (2 0 0); 31.47 deg, intensity 83, (0 2 2); 18.89 deg, intensity 63, (3 1 -1); 12.98 deg, intensity 44, (1 1 0); 38.22 deg, intensity 36, (2 2 2); 28.63 deg, intensity 34, (5 1 -1); 27.78 deg, intensity 31, (1 1 2); 27.93 deg, intensity 28, (5 1 -2); 39.59 deg, intensity 24, (1 3 -2); 31.16 deg, intensity 23, (5 1 -3)

2.
Diffraction record for Rb2WS4. The X-ray diffraction stick pattern is computed, not measured: it uses a structure optimized by DFT (GGA-PBE) and Cu Kα, 1.54184 Å.
No peak broadening, texture or thermal motion is included.

Crystal structure
```
data_Rb2WS4
_symmetry_space_group_name_H-M 'P n m a'
_symmetry_Int_Tables_number 62
_symmetry_space_group_name_Hall '-P 2ac 2n'
_cell_length_a 9.954
_cell_length_b 7.183
_cell_length_c 12.797
_cell_angle_alpha 90.00
_cell_angle_beta 90.00
_cell_angle_gamma 90.00
loop_
_atom_site_label
_atom_site_type_symbol
_atom_site_fract_x
_atom_site_fract_y
_atom_site_fract_z
_atom_site_occupancy
Rb1 Rb 0.040 0.250 0.168 1
Rb2 Rb 0.155 0.750 0.394 1
W1 W 0.246 0.750 0.071 1
S1 S 0.028 0.750 0.105 1
S2 S 0.160 0.001 0.640 1
S3 S 0.217 0.250 0.401 1
```

Most intense lines, 2θ from 10° to 90°, in order of falling intensity:
16.72 deg, intensity 100, (1 1 1); 24.27 deg, intensity 82, (0 1 3); 24.79 deg, intensity 75, (0 2 0); 30.49 deg, intensity 66, (3 1 1); 16.47 deg, intensity 46, (1 0 2); 22.82 deg, intensity 45, (2 1 1); 33.83 deg, intensity 42, (2 2 2); 22.64 deg, intensity 39, (2 0 2); 17.82 deg, intensity 35, (2 0 0); 54.63 deg, intensity 35, (5 2 2)

3.
Diffraction record for Li2MgGe. The X-ray diffraction stick pattern is computed, not measured: it uses a structure optimized by DFT (GGA-PBE) and Cu Kα, 1.54184 Å.
No peak broadening, texture or thermal motion is included.

Crystal structure
```
data_Li2MgGe
_symmetry_space_group_name_H-M 'F -4 3 m'
_symmetry_Int_Tables_number 216
_symmetry_space_group_name_Hall 'F -4 2 3'
_cell_length_a 6.449
_cell_length_b 6.449
_cell_length_c 6.449
_cell_angle_alpha 90.00
_cell_angle_beta 90.00
_cell_angle_gamma 90.00
loop_
_atom_site_label
_atom_site_type_symbol
_atom_site_fract_x
_atom_site_fract_y
_atom_site_fract_z
_atom_site_occupancy
Li1 Li 0.000 0.000 0.000 1
Li2 Li 0.250 0.250 0.250 1
Mg1 Mg 0.000 0.000 0.500 1
Ge1 Ge 0.250 0.250 0.750 1
```

Most intense lines, 2θ from 10° to 90°, in order of falling intensity:
23.90 deg, intensity 100, (1 1 1); 39.52 deg, intensity 92, (2 2 0); 46.72 deg, intensity 49, (3 1 1); 71.69 deg, intensity 30, (4 2 2); 27.66 deg, intensity 24, (2 0 0); 62.81 deg, intensity 20, (3 3 1); 57.13 deg, intensity 15, (4 0 0); 76.80 deg, intensity 14, (5 1 1); 85.10 deg, intensity 9, (4 4 0); 64.63 deg, intensity 9, (4 2 0)

4.
Diffraction record for ZrHg3. The X-ray diffraction stick pattern is computed, not measured: it uses a structure optimized by DFT (GGA-PBE) and Cu Kα, 1.54184 Å.
No peak broadening, texture or thermal motion is included.

Crystal structure
```
data_ZrHg3
_symmetry_space_group_name_H-M 'P 63/m m c'
_symmetry_Int_Tables_number 194
_symmetry_space_group_name_Hall '-P 6c 2c'
_cell_length_a 6.4544
_cell_length_b 6.4544
_cell_length_c 4.8803
_cell_angle_alpha 90.00
_cell_angle_beta 90.00
_cell_angle_gamma 120.00
loop_
_atom_site_label
_atom_site_type_symbol
_atom_site_fract_x
_atom_site_fract_y
_atom_site_fract_z
_atom_site_occupancy
Zr1 Zr 0.3333 0.6667 0.2500 1
Hg1 Hg 0.1691 0.3382 0.7500 1
```

Most intense lines, 2θ from 10° to 90°, in order of falling intensity:
37.07 deg, intensity 100, (2 0 1); 32.02 deg, intensity 25, (2 0 0); 36.83 deg, intensity 23, (0 0 2); 69.89 deg, intensity 21, (2 2 2); 57.08 deg, intensity 19, (2 2 0); 66.50 deg, intensity 18, (2 0 3); 70.04 deg, intensity 16, (4 0 1); 49.59 deg, intensity 15, (2 0 2); 24.21 deg, intensity 8, (1 0 1); 78.95 deg, intensity 4, (4 0 2)

5.
Diffraction record for TbCuAs2. The X-ray diffraction stick pattern is computed, not measured: it uses a structure optimized by DFT (GGA-PBE) and Cu Kα, 1.54184 Å.
No peak broadening, texture or thermal motion is included.

Crystal structure
```
data_TbCuAs2
_symmetry_space_group_name_H-M 'P 4/n m m'
_symmetry_Int_Tables_number 129
_cell_length_a 3.914
_cell_length_b 3.914
_cell_length_c 9.923
_cell_angle_alpha 90.00
_cell_angle_beta 90.00
_cell_angle_gamma 90.00
loop_
_symmetry_equiv_pos_as_xyz
'x,y,z'
'-x,-y,-z'
'-y+1/2,x,z'
'y+1/2,-x,-z'
'-x+1/2,-y+1/2,z'
'x+1/2,y+1/2,-z'
'y,-x+1/2,z'
'-y,x+1/2,-z'
'x+1/2,-y,-z'
'-x+1/2,y,z'
'-y,-x,-z'
'y,x,z'
'-x,y+1/2,-z'
'x,-y+1/2,z'
'y+1/2,x+1/2,-z'
'-y+1/2,-x+1/2,z'
loop_
_atom_site_label
_atom_site_type_symbol
_atom_site_fract_x
_atom_site_fract_y
_atom_site_fract_z
_atom_site_occupancy
Tb1 Tb 0.250 0.250 0.238 1
Cu1 Cu 0.250 0.750 0.500 1
As1 As 0.250 0.250 0.660 1
As2 As 0.250 0.750 0.000 1
```

Most intense lines, 2θ from 10° to 90°, in order of falling intensity:
37.20 deg, intensity 100, (1 1 2); 46.40 deg, intensity 34, (2 0 0); 35.53 deg, intensity 27, (1 0 3); 24.45 deg, intensity 22, (1 0 1); 79.88 deg, intensity 21, (3 1 2); 51.64 deg, intensity 17, (1 0 5); 29.06 deg, intensity 15, (1 0 2); 36.21 deg, intensity 15, (0 0 4); 60.23 deg, intensity 13, (2 0 4); 71.93 deg, intensity 12, (2 1 5)

6.
Diffraction record for Mg6CoW. The X-ray diffraction stick pattern is computed, not measured: it uses a structure optimized by DFT (GGA-PBE) and Cu Kα, 1.54184 Å.
No peak broadening, texture or thermal motion is included.

Crystal structure
```
data_Mg6CoW
_symmetry_space_group_name_H-M 'A m m 2'
_symmetry_Int_Tables_number 38
_symmetry_space_group_name_Hall 'A 2 -2'
_cell_length_a 4.651
_cell_length_b 5.864
_cell_length_c 10.944
_cell_angle_alpha 90.00
_cell_angle_beta 90.00
_cell_angle_gamma 90.00
loop_
_atom_site_label
_atom_site_type_symbol
_atom_site_fract_x
_atom_site_fract_y
_atom_site_fract_z
_atom_site_occupancy
Mg1 Mg 0.000 0.000 0.000 1
Mg2 Mg 0.000 0.237 0.256 1
Mg3 Mg 0.500 0.000 0.843 1
Mg4 Mg 0.500 0.243 0.595 1
Co1 Co 0.000 0.000 0.469 1
W1 W 0.500 0.000 0.367 1
```

Most intense lines, 2θ from 10° to 90°, in order of falling intensity:
17.15 deg, intensity 100, (0 1 1); 34.74 deg, intensity 64, (0 2 2); 39.91 deg, intensity 57, (1 2 2); 16.20 deg, intensity 53, (0 0 2); 38.16 deg, intensity 52, (1 0 4); 25.77 deg, intensity 29, (1 1 1); 38.72 deg, intensity 28, (2 0 0); 52.97 deg, intensity 23, (2 2 2); 28.82 deg, intensity 20, (0 1 3); 42.63 deg, intensity 20, (2 1 1)